The following is a computed powder X-ray diffraction pattern of Nd3Dy6Y2Tm. It was derived from a DFT-relaxed cell (PBE, Alexandria), using Cu Kα, 1.54184 Å.
Intensities are scaled so that the largest is 100.

Structural model:
Unit cell a=6.2028 b=10.7393 c=11.8449 alpha=90.00 beta=100.03 gamma=90.00
Space group C2/m (No. 12)
Symmetry-distinct sites (fractional):
Nd  0.0000  0.0000  0.0000 x2
Nd  0.0000  0.3335  0.0000 x4
Dy  0.2486  0.3338  0.7465 x8
Dy  0.2501  0.0000  0.7464 x4
Y  0.0000  0.1667  0.5000 x4
Tm  0.0000  0.5000  0.5000 x2

Largest 12 diffraction maxima, low angle first, 10 to 90 degrees two-theta:
(1 3 1), 30.61°, I = 100
(2 0 2), 35.49°, I = 51
(0 6 0), 51.05°, I = 30
(2 0 -6), 51.12°, I = 6
(4 0 0), 60.69°, I = 32
(2 0 6), 60.79°, I = 11
(2 6 2), 63.68°, I = 9
(4 0 4), 75.11°, I = 6
(4 6 0), 83.16°, I = 9
(2 6 6), 83.27°, I = 4
(5 3 1), 85.84°, I = 8
(3 3 7), 85.99°, I = 8



The following is a computed powder X-ray diffraction pattern of Nd2DyYTm6. It was derived from a DFT-relaxed cell (PBE, Alexandria), using Cu Kα, 1.54184 Å.
Intensities are scaled so that the largest is 100.

Structural model:
Unit cell a=8.9401 b=14.9760 c=9.6132 alpha=90.00 beta=98.98 gamma=90.00
Space group C2/c (No. 15)
Symmetry-distinct sites (fractional):
Nd  0.2463  0.0533  0.0430 x8
Dy  0.0000  0.4065  0.2500 x4
Y  0.0000  0.0182  0.7500 x4
Tm  0.0648  0.1916  0.4426 x8
Tm  0.1036  0.3944  0.6187 x8
Tm  0.1998  0.2241  0.8132 x8

Largest 12 diffraction maxima, low angle first, 10 to 90 degrees two-theta:
(1 3 2), 28.90°, I = 47
(0 2 3), 30.67°, I = 65
(3 1 -1), 30.95°, I = 100
(1 5 0), 31.54°, I = 72
(2 4 -1), 31.80°, I = 51
(2 2 2), 32.07°, I = 91
(1 5 -1), 32.49°, I = 22
(1 3 -3), 33.73°, I = 98
(2 2 -3), 34.34°, I = 22
(1 1 5), 51.11°, I = 22
(5 3 1), 57.59°, I = 18
(2 4 5), 61.31°, I = 20



The following is a computed powder X-ray diffraction pattern of Nd2DyY4Tm2. It was derived from a DFT-relaxed cell (PBE, Alexandria), using Cu Kα, 1.54184 Å.
Intensities are scaled so that the largest is 100.

Structural model:
Unit cell a=5.9823 b=6.6180 c=8.6721 alpha=80.65 beta=70.52 gamma=64.99
Space group P-1 (No. 2)
Symmetry-distinct sites (fractional):
Nd  0.2311  0.3180  0.3450 x2
Dy  0.5000  0.0000  0.0000 x1
Y  0.1131  0.1307  0.7603 x2
Y  0.2442  0.5762  0.8843 x2
Tm  0.3217  0.7668  0.4467 x2

Largest 12 diffraction maxima, low angle first, 10 to 90 degrees two-theta:
(0 0 1), 10.82°, I = 14
(1 1 -1), 23.44°, I = 13
(2 1 1), 29.88°, I = 40
(0 2 1), 31.55°, I = 100
(1 0 -2), 31.65°, I = 49
(1 2 -1), 32.09°, I = 45
(1 1 3), 32.18°, I = 48
(2 0 1), 33.05°, I = 13
(2 2 2), 35.71°, I = 11
(2 -1 0), 43.20°, I = 14
(2 3 2), 44.77°, I = 13
(0 1 -4), 47.37°, I = 16



The following is a computed powder X-ray diffraction pattern of Nd2Dy5Y5. It was derived from a DFT-relaxed cell (PBE, Alexandria), using Cu Kα, 1.54184 Å.
Intensities are scaled so that the largest is 100.

Structural model:
Unit cell a=15.1681 b=5.0604 c=11.3174 alpha=90.00 beta=116.54 gamma=90.00
Space group C2/m (No. 12)
Symmetry-distinct sites (fractional):
Nd  0.0834  0.0000  0.2490 x4
Dy  0.0000  0.0000  0.5000 x2
Dy  0.1678  0.0000  0.0004 x4
Dy  0.2490  0.0000  0.7502 x4
Y  0.0000  0.5000  0.0000 x2
Y  0.0845  0.5000  0.7505 x4
Y  0.1663  0.5000  0.5003 x4

Largest 12 diffraction maxima, low angle first, 10 to 90 degrees two-theta:
(1 1 0), 18.71°, I = 5
(2 0 -3), 23.62°, I = 1
(3 1 1), 30.60°, I = 100
(0 2 0), 35.48°, I = 50
(6 0 2), 51.06°, I = 36
(3 3 1), 60.71°, I = 42
(6 2 2), 63.72°, I = 12
(0 4 0), 75.07°, I = 4
(12 0 -4), 75.16°, I = 2
(9 1 3), 83.23°, I = 17
(6 0 6), 85.88°, I = 11
(12 0 0), 85.96°, I = 5



The following is a computed powder X-ray diffraction pattern of Nd12Dy2Y. It was derived from a DFT-relaxed cell (PBE, Alexandria), using Cu Kα, 1.54184 Å.
Intensities are scaled so that the largest is 100.

Structural model:
Unit cell a=7.2164 b=11.6590 c=25.0765 alpha=90.00 beta=90.00 gamma=90.00
Space group Cmme (No. 67)
Symmetry-distinct sites (fractional):
Nd  0.0000  0.0019  0.0745 x8
Nd  0.0000  0.0239  0.5602 x8
Nd  0.2307  0.2500  0.4151 x8
Nd  0.2484  0.2500  0.8696 x8
Nd  0.2500  0.0000  0.1990 x8
Nd  0.2500  0.0000  0.3248 x8
Dy  0.0000  0.2500  0.2672 x4
Dy  0.0000  0.2500  0.7286 x4
Y  0.0000  0.2500  0.9992 x4

Largest 12 diffraction maxima, low angle first, 10 to 90 degrees two-theta:
(2 0 4), 28.53°, I = 29
(0 2 7), 29.26°, I = 48
(2 2 2), 29.98°, I = 86
(0 4 0), 30.67°, I = 72
(0 2 8), 32.46°, I = 100
(2 2 6), 36.32°, I = 34
(2 4 4), 42.38°, I = 19
(2 0 11), 47.15°, I = 19
(0 6 8), 55.67°, I = 20
(2 4 11), 57.31°, I = 21
(4 4 0), 60.34°, I = 20
(4 2 8), 61.39°, I = 19



The following is a computed powder X-ray diffraction pattern of Nd3Dy3Y. It was derived from a DFT-relaxed cell (PBE, Alexandria), using Cu Kα, 1.54184 Å.
Intensities are scaled so that the largest is 100.

Structural model:
Unit cell a=9.6926 b=9.6926 c=5.7779 alpha=90.00 beta=90.00 gamma=120.00
Space group P6_3/m (No. 176)
Symmetry-distinct sites (fractional):
Nd  0.0948  0.6216  0.2500 x6
Dy  0.0447  0.8102  0.7500 x6
Y  0.3333  0.6667  0.7500 x2

Largest 12 diffraction maxima, low angle first, 10 to 90 degrees two-theta:
(1 2 0), 28.13°, I = 24
(0 0 2), 30.95°, I = 24
(1 2 1), 32.19°, I = 100
(1 2 2), 42.31°, I = 16
(4 1 0), 49.78°, I = 19
(1 2 3), 55.84°, I = 21
(4 1 2), 59.78°, I = 22
(2 4 1), 60.52°, I = 16
(2 4 2), 67.34°, I = 4
(2 4 3), 78.04°, I = 8
(7 0 1), 82.08°, I = 14
(4 1 4), 85.64°, I = 8



The following is a computed powder X-ray diffraction pattern of Nd2Dy3Y8. It was derived from a DFT-relaxed cell (PBE, Alexandria), using Cu Kα, 1.54184 Å.
Intensities are scaled so that the largest is 100.

Structural model:
Unit cell a=11.7838 b=20.7697 c=3.5262 alpha=90.00 beta=90.00 gamma=90.00
Space group Pbam (No. 55)
Symmetry-distinct sites (fractional):
Nd  0.1789  0.0990  0.0000 x4
Dy  0.0000  0.0000  0.5000 x2
Dy  0.1453  0.7011  0.5000 x4
Y  0.0456  0.5716  0.0000 x4
Y  0.0549  0.8413  0.5000 x4
Y  0.1288  0.2864  0.0000 x4
Y  0.2082  0.4471  0.5000 x4

Largest 12 diffraction maxima, low angle first, 10 to 90 degrees two-theta:
(1 2 0), 11.36°, I = 35
(2 1 1), 29.85°, I = 80
(0 4 1), 30.65°, I = 18
(1 7 0), 31.08°, I = 44
(3 5 0), 31.34°, I = 70
(1 4 1), 31.59°, I = 100
(4 3 0), 33.05°, I = 30
(3 1 1), 34.46°, I = 72
(0 6 1), 36.37°, I = 32
(0 0 2), 51.86°, I = 21
(1 7 2), 61.71°, I = 23
(3 5 2), 61.86°, I = 20



The following is a computed powder X-ray diffraction pattern of Nd4Dy3Y. It was derived from a DFT-relaxed cell (PBE, Alexandria), using Cu Kα, 1.54184 Å.
Intensities are scaled so that the largest is 100.

Structural model:
Unit cell a=11.6298 b=7.3456 c=6.3345 alpha=90.00 beta=90.00 gamma=90.00
Space group Pmn2_1 (No. 31)
Symmetry-distinct sites (fractional):
Nd  0.0000  0.1267  0.0000 x2
Nd  0.0000  0.8724  0.5026 x2
Nd  0.2487  0.1276  0.3355 x4
Dy  0.0000  0.3786  0.5023 x2
Dy  0.2499  0.3781  0.8359 x4
Y  0.0000  0.6218  0.0034 x2

Largest 12 diffraction maxima, low angle first, 10 to 90 degrees two-theta:
(0 0 2), 28.11°, I = 24
(4 0 0), 30.75°, I = 25
(2 2 1), 32.13°, I = 100
(4 0 2), 42.15°, I = 16
(0 4 0), 49.64°, I = 7
(0 2 3), 49.81°, I = 13
(6 2 1), 55.55°, I = 21
(4 4 0), 59.54°, I = 8
(4 2 3), 59.69°, I = 15
(2 4 2), 60.40°, I = 11
(8 2 3), 85.25°, I = 6
(10 2 1), 89.82°, I = 6



The following is a computed powder X-ray diffraction pattern of Nd7Dy12Y. It was derived from a DFT-relaxed cell (PBE, Alexandria), using Cu Kα, 1.54184 Å.
Intensities are scaled so that the largest is 100.

Structural model:
Unit cell a=12.0178 b=12.0178 c=16.3010 alpha=90.00 beta=90.00 gamma=120.00
Space group R-3 (No. 148, hexagonal axes)
Symmetry-distinct sites (fractional):
Nd  0.0000  0.0000  0.0000 x3
Nd  0.0560  0.1876  0.2888 x18
Dy  0.0251  0.4490  0.2227 x18
Dy  0.0516  0.5861  0.5825 x18
Y  0.0000  0.0000  0.5000 x3

Largest 12 diffraction maxima, low angle first, 10 to 90 degrees two-theta:
(0 1 5), 28.69°, I = 22
(0 3 3), 30.57°, I = 40
(4 -3 1), 31.47°, I = 100
(2 1 4), 31.61°, I = 46
(2 0 5), 32.41°, I = 22
(3 1 2), 32.93°, I = 57
(2 -1 6), 36.28°, I = 15
(3 1 5), 41.80°, I = 14
(3 -2 8), 50.40°, I = 20
(2 5 0), 55.10°, I = 24
(7 -3 4), 58.46°, I = 17
(8 -6 2), 65.73°, I = 14



The following is a computed powder X-ray diffraction pattern of Nd7Dy3Y. It was derived from a DFT-relaxed cell (PBE, Alexandria), using Cu Kα, 1.54184 Å.
Intensities are scaled so that the largest is 100.

Structural model:
Unit cell a=19.3192 b=7.2260 c=12.6232 alpha=90.00 beta=116.04 gamma=90.00
Space group C2/c (No. 15)
Symmetry-distinct sites (fractional):
Nd  0.0000  0.2202  0.2500 x4
Nd  0.1585  0.4944  0.7734 x8
Nd  0.1677  0.2471  0.0281 x8
Nd  0.1684  0.2487  0.5293 x8
Dy  0.0000  0.5000  0.0000 x4
Dy  0.1700  0.0025  0.2748 x8
Y  0.0000  0.0000  0.0000 x4

Largest 12 diffraction maxima, low angle first, 10 to 90 degrees two-theta:
(2 2 -2), 28.67°, I = 19
(0 2 2), 29.31°, I = 26
(6 0 0), 30.91°, I = 53
(0 0 4), 31.62°, I = 100
(6 0 -4), 33.14°, I = 30
(2 2 2), 33.38°, I = 55
(6 2 -2), 37.47°, I = 19
(4 2 -6), 50.18°, I = 27
(6 0 4), 54.32°, I = 21
(10 2 -6), 60.01°, I = 15
(2 2 6), 60.23°, I = 20
(6 4 0), 60.41°, I = 15



The following is a computed powder X-ray diffraction pattern of Nd2Dy7Y2. It was derived from a DFT-relaxed cell (PBE, Alexandria), using Cu Kα, 1.54184 Å.
Intensities are scaled so that the largest is 100.

Structural model:
Unit cell a=6.5883 b=6.6825 c=8.9636 alpha=111.12 beta=99.32 gamma=95.33
Space group P-1 (No. 2)
Symmetry-distinct sites (fractional):
Nd  0.2162  0.1769  0.0720 x2
Dy  0.0000  0.5000  0.5000 x1
Dy  0.1079  0.9230  0.3316 x2
Dy  0.3822  0.9333  0.7159 x2
Dy  0.4962  0.6200  0.3630 x2
Y  0.2518  0.6109  0.9487 x2

Largest 12 diffraction maxima, low angle first, 10 to 90 degrees two-theta:
(0 1 2), 30.54°, I = 35
(-2 1 1), 31.13°, I = 43
(1 2 -1), 31.41°, I = 52
(1 1 -3), 31.52°, I = 41
(1 -2 2), 32.08°, I = 100
(0 0 3), 32.87°, I = 13
(0 2 1), 34.86°, I = 19
(1 -3 0), 44.12°, I = 11
(3 1 -2), 45.50°, I = 12
(3 -3 1), 56.33°, I = 14
(0 4 -3), 56.40°, I = 13
(3 -2 3), 57.61°, I = 10